# 1
P3N: theoretical XRD peak list (Cu Ka), based on a PBE-relaxed structure.
Neutral-atom scattering factors, no anomalous dispersion.

Structure:
Unit cell a=4.3760 b=3.4609 c=4.7235 alpha=90.00 beta=102.29 gamma=90.00
Element x y z (fractional)
P 0.0000 0.0000 0.0000
P 0.0992 0.5000 0.3397
P 0.2985 0.0000 0.6541
N 0.6549 0.0000 0.8101

Principal peaks in the range 10 to 90 degrees two-theta, low angle first:
2θ = 20.8°, rel. 89
2θ = 25.2°, rel. 95
2θ = 25.7°, rel. 37
2θ = 32.3°, rel. 100
2θ = 41.0°, rel. 55
2θ = 42.7°, rel. 22
2θ = 47.3°, rel. 17
2θ = 48.4°, rel. 55
2θ = 52.9°, rel. 22
2θ = 57.8°, rel. 21

***

# 2
P3N5: theoretical XRD peak list (Cu Ka), based on a PBE-relaxed structure.
Neutral-atom scattering factors, no anomalous dispersion.

Structure:
Unit cell a=2.6295 b=13.0554 c=4.4897 alpha=90.00 beta=90.00 gamma=90.00
Element x y z (fractional)
P 0.0000 0.0000 0.0000
P 0.0000 0.3172 0.1609
P 0.0000 0.6828 0.1609
P 0.5000 0.1828 0.6609
P 0.5000 0.5000 0.5000
P 0.5000 0.8172 0.6609
N 0.0000 0.1038 0.7796
N 0.0000 0.2265 0.4381
N 0.0000 0.5000 0.6960
N 0.0000 0.7735 0.4381
N 0.0000 0.8962 0.7796
N 0.5000 0.0000 0.1960
N 0.5000 0.2735 0.9381
N 0.5000 0.3962 0.2796
N 0.5000 0.6038 0.2796
N 0.5000 0.7265 0.9381

Principal peaks in the range 10 to 90 degrees two-theta, low angle first:
2θ = 13.6°, rel. 8
2θ = 20.9°, rel. 30
2θ = 28.6°, rel. 100
2θ = 40.1°, rel. 10
2θ = 42.2°, rel. 28
2θ = 49.2°, rel. 9
2θ = 58.8°, rel. 12
2θ = 65.3°, rel. 17
2θ = 74.4°, rel. 8
2θ = 79.0°, rel. 8

***

# 3
P3N: theoretical XRD peak list (Cu Ka), based on a PBE-relaxed structure.
Neutral-atom scattering factors, no anomalous dispersion.

Structure:
Unit cell a=9.8556 b=2.9529 c=5.0118 alpha=90.00 beta=95.81 gamma=90.00
Element x y z (fractional)
P 0.0000 0.0000 0.0000
P 0.0678 0.5000 0.7253
P 0.2745 0.5000 0.0217
P 0.5000 0.5000 0.0000
P 0.5678 0.0000 0.7253
P 0.7745 0.0000 0.0217
N 0.2707 0.0000 0.1803
N 0.7707 0.5000 0.1803

Principal peaks in the range 10 to 90 degrees two-theta, low angle first:
2θ = 17.8°, rel. 100
2θ = 24.1°, rel. 19
2θ = 26.8°, rel. 25
2θ = 36.1°, rel. 45
2θ = 36.7°, rel. 23
2θ = 42.7°, rel. 16
2θ = 47.9°, rel. 11
2θ = 49.4°, rel. 21
2θ = 57.9°, rel. 16
2θ = 66.0°, rel. 11

***

# 4
P3N: theoretical XRD peak list (Cu Ka), based on a PBE-relaxed structure.
Neutral-atom scattering factors, no anomalous dispersion.

Structure:
Unit cell a=14.8085 b=3.3903 c=2.6512 alpha=90.00 beta=91.39 gamma=90.00
Element x y z (fractional)
P 0.0000 0.0000 0.0000
P 0.1032 0.5000 0.0142
P 0.2246 0.0000 0.0307
P 0.5000 0.5000 0.0000
P 0.6032 0.0000 0.0142
P 0.7246 0.5000 0.0307
N 0.2878 0.0000 0.5393
N 0.7878 0.5000 0.5393

Principal peaks in the range 10 to 90 degrees two-theta, low angle first:
2θ = 12.0°, rel. 100
2θ = 24.0°, rel. 24
2θ = 27.0°, rel. 17
2θ = 32.0°, rel. 83
2θ = 33.8°, rel. 38
2θ = 35.7°, rel. 15
2θ = 40.4°, rel. 42
2θ = 53.2°, rel. 28
2θ = 54.1°, rel. 15
2θ = 54.2°, rel. 25

***

# 5
P3N: theoretical XRD peak list (Cu Ka), based on a PBE-relaxed structure.
Neutral-atom scattering factors, no anomalous dispersion.

Structure:
Unit cell a=5.7961 b=3.9401 c=6.0598 alpha=90.00 beta=118.34 gamma=90.00
Element x y z (fractional)
P 0.0000 0.0000 0.0000
P 0.2066 0.8926 0.7433
P 0.2934 0.3926 0.2567
P 0.5000 0.5000 0.0000
P 0.7066 0.3926 0.7433
P 0.7934 0.8926 0.2567
N 0.0000 0.6617 0.5000
N 0.5000 0.1617 0.5000

Principal peaks in the range 10 to 90 degrees two-theta, low angle first:
2θ = 28.6°, rel. 100
2θ = 35.3°, rel. 61
2θ = 37.4°, rel. 82
2θ = 46.1°, rel. 18
2θ = 51.2°, rel. 31
2θ = 53.5°, rel. 34
2θ = 58.2°, rel. 13
2θ = 59.3°, rel. 11
2θ = 59.4°, rel. 12
2θ = 74.6°, rel. 12

***

# 6
PN2: theoretical XRD peak list (Cu Ka), based on a PBE-relaxed structure.
Neutral-atom scattering factors, no anomalous dispersion.

Structure:
Unit cell a=4.8132 b=4.8132 c=7.5031 alpha=90.00 beta=90.00 gamma=90.00
Element x y z (fractional)
P 0.0054 0.2398 0.3749
P 0.4946 0.7602 0.8749
P 0.5054 0.2602 0.6251
P 0.9946 0.7398 0.1251
N 0.1043 0.9766 0.2591
N 0.2372 0.6464 0.9908
N 0.2628 0.3536 0.4908
N 0.3957 0.0234 0.7591
N 0.6043 0.5234 0.7409
N 0.7372 0.8536 0.0092
N 0.7628 0.1464 0.5092
N 0.8957 0.4766 0.2409

Principal peaks in the range 10 to 90 degrees two-theta, low angle first:
2θ = 21.9°, rel. 100
2θ = 35.6°, rel. 27
2θ = 37.4°, rel. 4
2θ = 43.8°, rel. 7
2θ = 56.4°, rel. 11
2θ = 62.8°, rel. 6
2θ = 66.3°, rel. 6
2θ = 71.8°, rel. 4
2θ = 77.5°, rel. 4
2θ = 83.9°, rel. 3

***

# 7
P4N7: theoretical XRD peak list (Cu Ka), based on a PBE-relaxed structure.
Neutral-atom scattering factors, no anomalous dispersion.

Structure:
Unit cell a=5.0138 b=5.0138 c=9.0340 alpha=104.59 beta=104.59 gamma=93.54
Element x y z (fractional)
P 0.0117 0.5249 0.2028
P 0.0834 0.2444 0.4757
P 0.2444 0.0834 0.9757
P 0.4751 0.9883 0.2972
P 0.5249 0.0117 0.7028
P 0.7556 0.9166 0.0243
P 0.9166 0.7556 0.5243
P 0.9883 0.4751 0.7972
N 0.0107 0.1921 0.1015
N 0.0672 0.5100 0.6307
N 0.1921 0.0107 0.6015
N 0.2198 0.3460 0.9026
N 0.3194 0.6806 0.2500
N 0.3460 0.2198 0.4026
N 0.4900 0.9328 0.8693
N 0.5100 0.0672 0.1307
N 0.6540 0.7802 0.5974
N 0.6806 0.3194 0.7500
N 0.7802 0.6540 0.0974
N 0.8079 0.9893 0.3985
N 0.9328 0.4900 0.3693
N 0.9893 0.8079 0.8985

Principal peaks in the range 10 to 90 degrees two-theta, low angle first:
2θ = 18.5°, rel. 56
2θ = 27.9°, rel. 100
2θ = 31.9°, rel. 31
2θ = 32.2°, rel. 90
2θ = 32.5°, rel. 99
2θ = 35.9°, rel. 26
2θ = 44.7°, rel. 13
2θ = 48.6°, rel. 21
2θ = 60.7°, rel. 13
2θ = 64.5°, rel. 32

***

# 8
P3N: theoretical XRD peak list (Cu Ka), based on a PBE-relaxed structure.
Neutral-atom scattering factors, no anomalous dispersion.

Structure:
Unit cell a=6.5349 b=6.5349 c=5.0787 alpha=90.00 beta=90.00 gamma=120.00
Element x y z (fractional)
P 0.0323 0.4794 0.0000
P 0.1138 0.3010 0.3333
P 0.1873 0.8862 0.3333
P 0.3656 0.1461 0.6667
P 0.4471 0.9677 0.0000
P 0.5206 0.5529 0.0000
P 0.6990 0.8127 0.3333
P 0.7804 0.6344 0.6667
P 0.8539 0.2196 0.6667
N 0.0000 0.0000 0.2571
N 0.3333 0.6667 0.9237
N 0.6667 0.3333 0.5904

Principal peaks in the range 10 to 90 degrees two-theta, low angle first:
2θ = 23.5°, rel. 84
2θ = 27.3°, rel. 33
2θ = 36.3°, rel. 100
2θ = 38.9°, rel. 24
2θ = 46.0°, rel. 21
2θ = 48.2°, rel. 36
2θ = 56.3°, rel. 40
2θ = 61.9°, rel. 19
2θ = 70.5°, rel. 14
2θ = 77.2°, rel. 14

***

# 9
P3N: theoretical XRD peak list (Cu Ka), based on a PBE-relaxed structure.
Neutral-atom scattering factors, no anomalous dispersion.

Structure:
Unit cell a=3.3823 b=2.6427 c=7.5471 alpha=90.00 beta=94.34 gamma=90.00
Element x y z (fractional)
P 0.0000 0.0000 0.0000
P 0.2526 0.0000 0.4944
P 0.7254 0.0000 0.2980
N 0.8055 0.5000 0.8999

Principal peaks in the range 10 to 90 degrees two-theta, low angle first:
2θ = 11.8°, rel. 100
2θ = 23.6°, rel. 100
2θ = 29.8°, rel. 90
2θ = 33.9°, rel. 79
2θ = 34.3°, rel. 84
2θ = 36.0°, rel. 40
2θ = 43.3°, rel. 36
2θ = 45.8°, rel. 44
2θ = 49.0°, rel. 34
2θ = 51.2°, rel. 37

***

# 10
P3N5: theoretical XRD peak list (Cu Ka), based on a PBE-relaxed structure.
Neutral-atom scattering factors, no anomalous dispersion.

Structure:
Unit cell a=5.0443 b=5.0443 c=9.2456 alpha=110.58 beta=110.58 gamma=71.51
Element x y z (fractional)
P 0.0171 0.9829 0.5000
P 0.1620 0.5703 0.6951
P 0.4295 0.8377 0.3050
P 0.5703 0.1620 0.1951
P 0.8377 0.4295 0.8050
P 0.9829 0.0171 0.0000
N 0.9996 0.2902 0.6497
N 0.0081 0.7309 0.5594
N 0.2687 0.9930 0.4406
N 0.2902 0.9996 0.1497
N 0.4994 0.4999 0.2505
N 0.4999 0.4994 0.7505
N 0.7099 0.9995 0.3501
N 0.7309 0.0081 0.0594
N 0.9930 0.2687 0.9406
N 0.9995 0.7099 0.8501

Principal peaks in the range 10 to 90 degrees two-theta, low angle first:
2θ = 19.3°, rel. 63
2θ = 24.5°, rel. 100
2θ = 24.6°, rel. 73
2θ = 32.6°, rel. 14
2θ = 36.6°, rel. 16
2θ = 37.4°, rel. 12
2θ = 39.1°, rel. 9
2θ = 39.4°, rel. 8
2θ = 44.8°, rel. 11
2θ = 59.1°, rel. 10

***

# 11
Pa3PN3: theoretical XRD peak list (Cu Ka), based on a PBE-relaxed structure.
Neutral-atom scattering factors, no anomalous dispersion.

Structure:
Unit cell a=7.6493 b=7.6493 c=7.6493 alpha=51.94 beta=51.94 gamma=51.94
Element x y z (fractional)
Pa 0.0631 0.4073 0.7480
Pa 0.2520 0.9369 0.5927
Pa 0.4073 0.7480 0.0631
Pa 0.5927 0.2520 0.9369
Pa 0.7480 0.0631 0.4073
Pa 0.9369 0.5927 0.2520
P 0.1665 0.1665 0.1665
P 0.8335 0.8335 0.8335
N 0.0542 0.7005 0.3731
N 0.2995 0.6269 0.9458
N 0.3731 0.0542 0.7005
N 0.6269 0.9458 0.2995
N 0.7005 0.3731 0.0542
N 0.9458 0.2995 0.6269

Principal peaks in the range 10 to 90 degrees two-theta, low angle first:
2θ = 26.6°, rel. 23
2θ = 27.0°, rel. 24
2θ = 29.9°, rel. 100
2θ = 38.3°, rel. 26
2θ = 47.0°, rel. 26
2θ = 49.6°, rel. 23
2θ = 55.0°, rel. 21
2θ = 56.7°, rel. 17
2θ = 76.6°, rel. 14
2θ = 89.3°, rel. 9

***

# 12
Pa2PN2: theoretical XRD peak list (Cu Ka), based on a PBE-relaxed structure.
Neutral-atom scattering factors, no anomalous dispersion.

Structure:
Unit cell a=9.2728 b=3.7852 c=9.7178 alpha=90.00 beta=90.00 gamma=90.00
Element x y z (fractional)
Pa 0.0043 0.2500 0.1631
Pa 0.1652 0.2500 0.5256
Pa 0.3348 0.7500 0.0256
Pa 0.4957 0.7500 0.6631
Pa 0.5043 0.2500 0.3369
Pa 0.6652 0.2500 0.9744
Pa 0.8348 0.7500 0.4744
Pa 0.9957 0.7500 0.8369
P 0.2382 0.2500 0.8178
P 0.2618 0.7500 0.3178
P 0.7382 0.2500 0.6822
P 0.7618 0.7500 0.1822
N 0.0435 0.7500 0.6037
N 0.0920 0.7500 0.0506
N 0.4080 0.2500 0.5506
N 0.4565 0.2500 0.1037
N 0.5435 0.7500 0.8963
N 0.5920 0.7500 0.4494
N 0.9080 0.2500 0.9494
N 0.9565 0.2500 0.3963

Principal peaks in the range 10 to 90 degrees two-theta, low angle first:
2θ = 26.6°, rel. 40
2θ = 27.0°, rel. 78
2θ = 29.2°, rel. 100
2θ = 30.3°, rel. 97
2θ = 30.5°, rel. 34
2θ = 31.5°, rel. 76
2θ = 31.9°, rel. 95
2θ = 37.8°, rel. 46
2θ = 53.8°, rel. 41
2θ = 57.2°, rel. 49